For RbCdWO4, DFT lattice parameters and positions (PBE+U) gives the calculated powder XRD pattern in this record (Cu Kα (λ = 1.5418 Å)).

Crystal structure
Cell lengths 6.411, 6.411, 6.411 Å; angles 121.00, 121.00, 88.28 degrees
Fractional coordinates of all 7 atoms:
Rb 0.000 0.000 0.000
Cd 0.500 0.500 0.000
W 0.250 0.750 0.500
O 0.230 0.668 0.170
O 0.332 0.502 0.562
O 0.498 0.059 0.830
O 0.941 0.770 0.438

Largest 12 diffraction maxima, low angle first, 2θ = 15–90°:
2θ (°)	d [Å]	I_rel
17.03	5.206	96
27.85	3.204	100
28.27	3.157	39
32.46	2.759	12
33.19	2.699	24
40.41	2.232	18
43.57	2.077	16
49.00	1.859	23
49.79	1.832	38
57.53	1.602	12
78.68	1.216	10
80.30	1.196	10